Computed PXRD pattern of Ba2TbNbO6 for Cu Ka, from the GGA-PBE geometry in the Materials Project.
Lines closer than 0.1° are merged.

Largest 10 diffraction maxima, sorted by position, 5° ≤ 2θ ≤ 70°:
2theta, I_rel
17.94, 2
29.50, 100
34.74, 2
36.33, 2
42.20, 29
46.20, 1
52.33, 41
55.77, 1
61.21, 18
69.39, 18

Structural model:
Unit cell a=8.566 b=8.566 c=8.566 alpha=90.00 beta=90.00 gamma=90.00
Atoms (fractional coordinates):
Ba: 0.250 0.250 0.250
Ba: 0.250 0.250 0.750
Ba: 0.250 0.750 0.250
Ba: 0.250 0.750 0.750
Ba: 0.750 0.250 0.250
Ba: 0.750 0.250 0.750
Ba: 0.750 0.750 0.250
Ba: 0.750 0.750 0.750
Tb: 0.000 0.000 0.000
Tb: 0.000 0.500 0.500
Tb: 0.500 0.000 0.500
Tb: 0.500 0.500 0.000
Nb: 0.000 0.000 0.500
Nb: 0.000 0.500 0.000
Nb: 0.500 0.000 0.000
Nb: 0.500 0.500 0.500
O: 0.017 0.518 0.764
O: 0.017 0.982 0.736
O: 0.018 0.236 0.517
O: 0.018 0.264 0.983
O: 0.236 0.517 0.018
O: 0.236 0.983 0.482
O: 0.264 0.517 0.482
O: 0.264 0.983 0.018
O: 0.482 0.236 0.983
O: 0.482 0.264 0.517
O: 0.483 0.518 0.736
O: 0.483 0.982 0.764
O: 0.517 0.018 0.236
O: 0.517 0.482 0.264
O: 0.518 0.736 0.483
O: 0.518 0.764 0.017
O: 0.736 0.017 0.982
O: 0.736 0.483 0.518
O: 0.764 0.017 0.518
O: 0.764 0.483 0.982
O: 0.982 0.736 0.017
O: 0.982 0.764 0.483
O: 0.983 0.018 0.264
O: 0.983 0.482 0.236

***

Computed PXRD pattern of Ba2Nb2TeO10 for Cu Ka, from the GGA-PBE geometry in the Materials Project.
Lines closer than 0.1° are merged.

Largest 10 diffraction maxima, sorted by position, 5° ≤ 2θ ≤ 70°:
2theta, I_rel
13.94, 22
22.50, 46
25.82, 65
29.37, 54
30.08, 100
38.50, 16
41.66, 21
43.50, 23
47.34, 17
52.61, 33

Structural model:
Unit cell a=7.379 b=12.702 c=10.069 alpha=90.00 beta=90.00 gamma=90.00
Atoms (fractional coordinates):
Ba: 0.015 0.141 0.111
Ba: 0.015 0.359 0.611
Ba: 0.485 0.641 0.111
Ba: 0.485 0.859 0.611
Ba: 0.515 0.141 0.389
Ba: 0.515 0.359 0.889
Ba: 0.985 0.641 0.389
Ba: 0.985 0.859 0.889
Nb: 0.211 0.105 0.744
Nb: 0.211 0.395 0.244
Nb: 0.289 0.605 0.744
Nb: 0.289 0.895 0.244
Nb: 0.711 0.105 0.756
Nb: 0.711 0.395 0.256
Nb: 0.789 0.605 0.756
Nb: 0.789 0.895 0.256
Te: 0.000 0.000 0.500
Te: 0.000 0.500 0.000
Te: 0.500 0.000 0.000
Te: 0.500 0.500 0.500
O: 0.055 0.583 0.666
O: 0.055 0.917 0.166
O: 0.078 0.138 0.570
O: 0.078 0.362 0.070
O: 0.121 0.555 0.154
O: 0.121 0.945 0.654
O: 0.221 0.242 0.796
O: 0.221 0.258 0.296
O: 0.233 0.514 0.905
O: 0.233 0.986 0.405
O: 0.267 0.014 0.905
O: 0.267 0.486 0.405
O: 0.279 0.742 0.796
O: 0.279 0.758 0.296
O: 0.379 0.055 0.154
O: 0.379 0.445 0.654
O: 0.422 0.638 0.570
O: 0.422 0.862 0.070
O: 0.445 0.083 0.666
O: 0.445 0.417 0.166
O: 0.555 0.583 0.834
O: 0.555 0.917 0.334
O: 0.578 0.138 0.930
O: 0.578 0.362 0.430
O: 0.621 0.555 0.346
O: 0.621 0.945 0.846
O: 0.721 0.242 0.704
O: 0.721 0.258 0.204
O: 0.733 0.514 0.595
O: 0.733 0.986 0.095
O: 0.767 0.014 0.595
O: 0.767 0.486 0.095
O: 0.779 0.742 0.704
O: 0.779 0.758 0.204
O: 0.879 0.055 0.346
O: 0.879 0.445 0.846
O: 0.922 0.638 0.930
O: 0.922 0.862 0.430
O: 0.945 0.083 0.834
O: 0.945 0.417 0.334

***

Computed PXRD pattern of Ba3TiNb4O15 for Cu Ka, from the GGA-PBE geometry in the Materials Project.
Lines closer than 0.1° are merged.

Largest 10 diffraction maxima, sorted by position, 5° ≤ 2θ ≤ 70°:
2theta, I_rel
25.30, 38
26.68, 94
29.01, 73
29.38, 47
31.06, 100
31.53, 37
43.79, 36
48.34, 29
51.11, 25
53.39, 26

Structural model:
Unit cell a=12.691 b=12.691 c=4.134 alpha=90.00 beta=90.00 gamma=90.00
Atoms (fractional coordinates):
Ba: 0.000 0.000 0.000
Ba: 0.163 0.337 0.993
Ba: 0.337 0.837 0.993
Ba: 0.500 0.500 0.000
Ba: 0.663 0.163 0.993
Ba: 0.837 0.663 0.993
Ti: 0.000 0.500 0.465
Ti: 0.500 0.000 0.465
Nb: 0.073 0.783 0.481
Nb: 0.217 0.073 0.481
Nb: 0.283 0.573 0.481
Nb: 0.427 0.283 0.481
Nb: 0.573 0.717 0.481
Nb: 0.717 0.427 0.481
Nb: 0.783 0.927 0.481
Nb: 0.927 0.217 0.481
O: 0.000 0.500 0.042
O: 0.006 0.345 0.527
O: 0.068 0.140 0.527
O: 0.075 0.791 0.027
O: 0.140 0.932 0.527
O: 0.155 0.494 0.527
O: 0.209 0.075 0.027
O: 0.219 0.719 0.525
O: 0.281 0.219 0.525
O: 0.291 0.575 0.027
O: 0.345 0.994 0.527
O: 0.360 0.432 0.527
O: 0.425 0.291 0.027
O: 0.432 0.640 0.527
O: 0.494 0.845 0.527
O: 0.500 0.000 0.042
O: 0.506 0.155 0.527
O: 0.568 0.360 0.527
O: 0.575 0.709 0.027
O: 0.640 0.568 0.527
O: 0.655 0.006 0.527
O: 0.709 0.425 0.027
O: 0.719 0.781 0.525
O: 0.781 0.281 0.525
O: 0.791 0.925 0.027
O: 0.845 0.506 0.527
O: 0.860 0.068 0.527
O: 0.925 0.209 0.027
O: 0.932 0.860 0.527
O: 0.994 0.655 0.527

***

Computed PXRD pattern of Ba3TiNb4O15 for Cu Ka, from the GGA-PBE geometry in the Materials Project.
Lines closer than 0.1° are merged.

Largest 10 diffraction maxima, sorted by position, 5° ≤ 2θ ≤ 70°:
2theta, I_rel
25.27, 27
26.71, 91
28.90, 40
29.04, 45
29.40, 42
31.05, 100
31.14, 29
31.48, 48
43.91, 39
61.94, 21

Structural model:
Unit cell a=4.124 b=12.740 c=12.675 alpha=90.00 beta=90.13 gamma=90.00
Atoms (fractional coordinates):
Ba: 0.000 0.072 0.000
Ba: 0.000 0.928 0.500
Ba: 0.010 0.247 0.665
Ba: 0.010 0.753 0.165
Ba: 0.990 0.416 0.345
Ba: 0.990 0.584 0.845
Ti: 0.540 0.169 0.456
Ti: 0.540 0.831 0.956
Nb: 0.441 0.251 0.176
Nb: 0.441 0.749 0.676
Nb: 0.527 0.459 0.594
Nb: 0.527 0.541 0.094
Nb: 0.528 0.036 0.745
Nb: 0.528 0.964 0.245
Nb: 0.531 0.324 0.886
Nb: 0.531 0.676 0.386
O: 0.482 0.467 0.951
O: 0.482 0.533 0.451
O: 0.484 0.391 0.737
O: 0.484 0.609 0.237
O: 0.485 0.109 0.601
O: 0.485 0.183 0.808
O: 0.485 0.817 0.308
O: 0.485 0.891 0.101
O: 0.487 0.321 0.527
O: 0.487 0.679 0.027
O: 0.488 0.031 0.387
O: 0.488 0.969 0.887
O: 0.489 0.254 0.328
O: 0.489 0.746 0.828
O: 0.492 0.243 0.013
O: 0.492 0.757 0.513
O: 0.493 0.405 0.177
O: 0.493 0.595 0.677
O: 0.494 0.093 0.161
O: 0.494 0.907 0.661
O: 0.968 0.170 0.463
O: 0.968 0.830 0.963
O: 0.985 0.328 0.875
O: 0.985 0.458 0.591
O: 0.985 0.542 0.091
O: 0.985 0.672 0.375
O: 0.986 0.044 0.748
O: 0.986 0.956 0.248
O: 0.990 0.249 0.170
O: 0.990 0.751 0.670

***

Computed PXRD pattern of Ba4TiNb9O18 for Cu Ka, from the GGA-PBE geometry in the Materials Project.
Lines closer than 0.1° are merged.

Largest 10 diffraction maxima, sorted by position, 5° ≤ 2θ ≤ 70°:
2theta, I_rel
30.02, 16
30.30, 100
30.89, 34
33.39, 31
42.08, 24
42.97, 54
43.80, 25
53.48, 40
62.39, 17
63.03, 31

Structural model:
Unit cell a=4.210 b=4.210 c=24.803 alpha=90.00 beta=90.00 gamma=90.00
Atoms (fractional coordinates):
Ba: 0.000 0.000 0.077
Ba: 0.000 0.000 0.416
Ba: 0.000 0.000 0.584
Ba: 0.000 0.000 0.923
Ti: 0.500 0.500 0.000
Nb: 0.000 0.500 0.249
Nb: 0.000 0.500 0.751
Nb: 0.500 0.000 0.249
Nb: 0.500 0.000 0.751
Nb: 0.500 0.500 0.166
Nb: 0.500 0.500 0.332
Nb: 0.500 0.500 0.500
Nb: 0.500 0.500 0.668
Nb: 0.500 0.500 0.834
O: 0.000 0.000 0.250
O: 0.000 0.000 0.750
O: 0.000 0.500 0.000
O: 0.000 0.500 0.164
O: 0.000 0.500 0.336
O: 0.000 0.500 0.500
O: 0.000 0.500 0.664
O: 0.000 0.500 0.836
O: 0.500 0.000 0.000
O: 0.500 0.000 0.164
O: 0.500 0.000 0.336
O: 0.500 0.000 0.500
O: 0.500 0.000 0.664
O: 0.500 0.000 0.836
O: 0.500 0.500 0.080
O: 0.500 0.500 0.419
O: 0.500 0.500 0.581
O: 0.500 0.500 0.920

***

Computed PXRD pattern of Ba2Ti3Nb4O18 for Cu Ka, from the GGA-PBE geometry in the Materials Project.
Lines closer than 0.1° are merged.

Largest 10 diffraction maxima, sorted by position, 5° ≤ 2θ ≤ 70°:
2theta, I_rel
25.51, 63
25.83, 30
27.01, 41
27.84, 72
28.22, 57
29.67, 100
39.71, 33
40.54, 36
51.58, 29
52.43, 34

Structural model:
Unit cell a=10.171 b=10.075 c=7.513 alpha=90.00 beta=111.47 gamma=90.00
Atoms (fractional coordinates):
Ba: 0.205 0.087 0.066
Ba: 0.205 0.413 0.566
Ba: 0.795 0.587 0.434
Ba: 0.795 0.913 0.934
Ti: 0.000 0.000 0.500
Ti: 0.000 0.500 0.000
Ti: 0.376 0.015 0.592
Ti: 0.376 0.485 0.092
Ti: 0.624 0.515 0.908
Ti: 0.624 0.985 0.408
Nb: 0.103 0.746 0.848
Nb: 0.103 0.754 0.348
Nb: 0.485 0.728 0.487
Nb: 0.485 0.772 0.987
Nb: 0.515 0.228 0.013
Nb: 0.515 0.272 0.513
Nb: 0.897 0.246 0.652
Nb: 0.897 0.254 0.152
O: 0.017 0.589 0.244
O: 0.017 0.911 0.744
O: 0.069 0.161 0.643
O: 0.069 0.339 0.143
O: 0.099 0.665 0.624
O: 0.099 0.835 0.124
O: 0.192 0.567 0.022
O: 0.192 0.933 0.522
O: 0.298 0.675 0.458
O: 0.298 0.825 0.958
O: 0.321 0.171 0.461
O: 0.321 0.329 0.961
O: 0.406 0.093 0.840
O: 0.406 0.407 0.340
O: 0.418 0.583 0.887
O: 0.418 0.917 0.387
O: 0.491 0.660 0.250
O: 0.491 0.840 0.750
O: 0.509 0.160 0.250
O: 0.509 0.340 0.750
O: 0.582 0.083 0.613
O: 0.582 0.417 0.113
O: 0.594 0.593 0.660
O: 0.594 0.907 0.160
O: 0.679 0.671 0.039
O: 0.679 0.829 0.539
O: 0.702 0.175 0.042
O: 0.702 0.325 0.542
O: 0.808 0.067 0.478
O: 0.808 0.433 0.978
O: 0.901 0.165 0.876
O: 0.901 0.335 0.376
O: 0.931 0.661 0.857
O: 0.931 0.839 0.357
O: 0.983 0.089 0.256
O: 0.983 0.411 0.756

***

Computed PXRD pattern of Ba7Ti2Nb4O21 for Cu Ka, from the GGA-PBE geometry in the Materials Project.
Lines closer than 0.1° are merged.

Largest 10 diffraction maxima, sorted by position, 5° ≤ 2θ ≤ 70°:
2theta, I_rel
29.08, 100
30.50, 92
38.26, 11
42.65, 55
50.64, 17
53.34, 35
54.21, 18
60.28, 12
63.49, 19
69.06, 14

Structural model:
Unit cell a=17.049 b=17.049 c=17.049 alpha=19.80 beta=19.80 gamma=19.80
Atoms (fractional coordinates):
Ba: 0.000 0.000 0.000
Ba: 0.149 0.149 0.149
Ba: 0.235 0.235 0.235
Ba: 0.382 0.382 0.382
Ba: 0.618 0.618 0.618
Ba: 0.765 0.765 0.765
Ba: 0.851 0.851 0.851
Ti: 0.076 0.076 0.076
Ti: 0.924 0.924 0.924
Nb: 0.308 0.308 0.308
Nb: 0.457 0.457 0.457
Nb: 0.543 0.543 0.543
Nb: 0.692 0.692 0.692
O: 0.000 0.500 0.500
O: 0.122 0.122 0.615
O: 0.122 0.615 0.122
O: 0.146 0.638 0.638
O: 0.229 0.745 0.745
O: 0.255 0.255 0.771
O: 0.255 0.771 0.255
O: 0.362 0.362 0.854
O: 0.362 0.854 0.362
O: 0.385 0.878 0.878
O: 0.500 0.000 0.500
O: 0.500 0.500 0.000
O: 0.615 0.122 0.122
O: 0.638 0.146 0.638
O: 0.638 0.638 0.146
O: 0.745 0.229 0.745
O: 0.745 0.745 0.229
O: 0.771 0.255 0.255
O: 0.854 0.362 0.362
O: 0.878 0.385 0.878
O: 0.878 0.878 0.385

***

- Which formula does entry 7 have?
  Ba7Ti2Nb4O21